Starting from a crystal structure in OQMD, relaxed with GGA-PBE, the X-ray diffraction stick pattern of In8Ir2S was calculated for Cu Kα.
Kinematic intensities with the Lorentz-polarization factor, no thermal factor.

Structure:
```
data_In8Ir2S
_space_group_name_H-M_alt 'P 42/m n m'
_space_group_IT_number 136
_space_group_name_Hall '-P 4n 2n'
_cell_length_a 10.034
_cell_length_b 10.034
_cell_length_c 10.230
_cell_angle_alpha 90.00
_cell_angle_beta 90.00
_cell_angle_gamma 90.00
loop_
_atom_site_label
_atom_site_fract_x
_atom_site_fract_y
_atom_site_fract_z
In1 0.000 0.000 0.168
In2 0.052 0.301 0.307
In3 0.096 0.904 0.500
In4 0.184 0.816 0.000
In5 0.199 0.199 0.000
Ir1 0.188 0.812 0.260
S1 0.000 0.500 0.000
```

Main lines, sorted by position (2θ from 5° to 70°):
2theta, I_rel, hkl
17.3, 48, 0 0 2
17.7, 34, 2 0 0
19.8, 46, 2 1 0
33.0, 96, 2 1 3
35.1, 31, 0 0 4
36.9, 63, 4 1 0
38.0, 60, 3 3 0
41.1, 100, 4 1 2

***

Starting from a crystal structure in OQMD, relaxed with GGA-PBE, the X-ray diffraction stick pattern of NdH9 was calculated for Cu Kα.
Kinematic intensities with the Lorentz-polarization factor, no thermal factor.

Structure:
```
data_NdH9
_space_group_name_H-M_alt 'P 63/m m c'
_space_group_IT_number 194
_space_group_name_Hall '-P 6c 2c'
_cell_length_a 4.0762
_cell_length_b 4.0762
_cell_length_c 8.2440
_cell_angle_alpha 90.00
_cell_angle_beta 90.00
_cell_angle_gamma 120.00
loop_
_atom_site_label
_atom_site_fract_x
_atom_site_fract_y
_atom_site_fract_z
Nd1 0.3333 0.6667 0.2500
H1 0.0000 0.0000 0.1995
H2 0.1635 0.3271 0.5055
H3 0.3333 0.6667 0.7500
```

Main lines, sorted by position (2θ from 5° to 70°):
2theta, I_rel, hkl
21.6, 38, 0 0 2
25.2, 18, 1 0 0
27.5, 100, 1 0 1
33.4, 21, 1 0 2
41.7, 33, 1 0 3
44.5, 19, 1 1 0
49.9, 28, 1 1 2
53.1, 16, 2 0 1

***

Starting from a crystal structure in OQMD, relaxed with GGA-PBE, the X-ray diffraction stick pattern of ErScFe2Ge2C was calculated for Cu Kα.
Kinematic intensities with the Lorentz-polarization factor, no thermal factor.

Structure:
```
data_ErScFe2Ge2C
_space_group_name_H-M_alt 'C 1 m 1'
_space_group_IT_number 8
_space_group_name_Hall 'C -2y'
_cell_length_a 10.463
_cell_length_b 3.884
_cell_length_c 6.620
_cell_angle_alpha 90.00
_cell_angle_beta 127.86
_cell_angle_gamma 90.00
loop_
_atom_site_label
_atom_site_fract_x
_atom_site_fract_y
_atom_site_fract_z
Er1 0.000 0.000 0.000
Sc1 0.387 0.500 0.431
Fe1 0.140 0.500 0.804
Fe2 0.244 0.000 0.620
Ge1 0.102 0.500 0.415
Ge2 0.285 0.000 0.017
C1 0.440 0.000 0.703
```

Main lines, sorted by position (2θ from 5° to 70°):
2theta, I_rel, hkl
34.3, 82, 0 0 2
34.7, 63, 3 1 -1
35.6, 45, 4 0 -1
37.1, 100, 1 1 -2
37.5, 40, 3 1 -2
40.1, 83, 3 1 0
42.7, 46, 4 0 -3
46.8, 50, 0 2 0

***

Starting from a crystal structure in OQMD, relaxed with GGA-PBE, the X-ray diffraction stick pattern of DyEr2 was calculated for Cu Kα.
Kinematic intensities with the Lorentz-polarization factor, no thermal factor.

Structure:
```
data_DyEr2
_space_group_name_H-M_alt 'R -3 m'
_space_group_IT_number 166
_space_group_name_Hall '-R 3 2"'
_cell_length_a 3.5338
_cell_length_b 3.5338
_cell_length_c 25.3496
_cell_angle_alpha 90.00
_cell_angle_beta 90.00
_cell_angle_gamma 120.00
loop_
_atom_site_label
_atom_site_fract_x
_atom_site_fract_y
_atom_site_fract_z
Dy1 0.0000 0.0000 0.0000
Er1 0.0000 0.0000 0.2217
```

Main lines, sorted by position (2θ from 5° to 70°):
2theta, I_rel, hkl
29.4, 37, 1 0 1
31.8, 50, 0 0 9
32.5, 100, 1 0 4
34.2, 90, 0 1 5
51.7, 39, 1 1 0
55.9, 21, 1 0 13
59.3, 19, 0 1 14
62.0, 45, 1 1 9

***

Starting from a crystal structure in OQMD, relaxed with GGA-PBE, the X-ray diffraction stick pattern of Rb2ZrP2O8 was calculated for Cu Kα.
Kinematic intensities with the Lorentz-polarization factor, no thermal factor.

Structure:
```
data_Rb2ZrP2O8
_space_group_name_H-M_alt 'P -3'
_space_group_IT_number 147
_space_group_name_Hall '-P 3'
_cell_length_a 5.1720
_cell_length_b 5.1720
_cell_length_c 9.1785
_cell_angle_alpha 90.00
_cell_angle_beta 90.00
_cell_angle_gamma 120.00
loop_
_atom_site_label
_atom_site_fract_x
_atom_site_fract_y
_atom_site_fract_z
Rb1 0.3333 0.6667 0.1478
Zr1 0.0000 0.0000 0.5000
P1 0.3333 0.6667 0.6923
O1 0.0849 0.7244 0.6339
O2 0.3333 0.6667 0.8576
```

Main lines, sorted by position (2θ from 5° to 70°):
2theta, I_rel, hkl
9.6, 16, 0 0 1
22.1, 76, 1 0 1
27.8, 100, 0 1 2
34.7, 54, 1 1 0
44.4, 24, 1 0 4
45.0, 16, 2 0 2
46.0, 33, 1 1 3
58.1, 20, 1 2 2

***

Starting from a crystal structure in OQMD, relaxed with GGA-PBE, the X-ray diffraction stick pattern of Gd4Y4Ni13 was calculated for Cu Kα.
Kinematic intensities with the Lorentz-polarization factor, no thermal factor.

Structure:
```
data_Gd4Y4Ni13
_space_group_name_H-M_alt 'C m m m'
_space_group_IT_number 65
_space_group_name_Hall '-C 2 2'
_cell_length_a 11.995
_cell_length_b 14.740
_cell_length_c 4.583
_cell_angle_alpha 90.00
_cell_angle_beta 90.00
_cell_angle_gamma 90.00
loop_
_atom_site_label
_atom_site_fract_x
_atom_site_fract_y
_atom_site_fract_z
Gd1 0.000 0.164 0.000
Gd2 0.250 0.250 0.000
Y1 0.000 0.337 0.500
Y2 0.200 0.500 0.500
Ni1 0.000 0.000 0.000
Ni2 0.095 0.000 0.500
Ni3 0.100 0.411 0.000
Ni4 0.191 0.077 0.000
Ni5 0.250 0.250 0.500
```

Main lines, sorted by position (2θ from 5° to 70°):
2theta, I_rel, hkl
19.4, 55, 0 0 1
27.6, 54, 1 3 1
28.4, 69, 2 4 0
32.2, 49, 4 2 0
34.9, 50, 3 3 1
39.3, 90, 0 0 2
39.6, 53, 2 6 0
43.0, 100, 5 1 1

***

What did the first record say?
Starting from a crystal structure in OQMD, relaxed with GGA-PBE, the X-ray diffraction stick pattern of In8Ir2S was calculated for Cu Kα.
Kinematic intensities with the Lorentz-polarization factor, no thermal factor.

Structure:
```
data_In8Ir2S
_space_group_name_H-M_alt 'P 42/m n m'
_space_group_IT_number 136
_space_group_name_Hall '-P 4n 2n'
_cell_length_a 10.034
_cell_length_b 10.034
_cell_length_c 10.230
_cell_angle_alpha 90.00
_cell_angle_beta 90.00
_cell_angle_gamma 90.00
loop_
_atom_site_label
_atom_site_fract_x
_atom_site_fract_y
_atom_site_fract_z
In1 0.000 0.000 0.168
In2 0.052 0.301 0.307
In3 0.096 0.904 0.500
In4 0.184 0.816 0.000
In5 0.199 0.199 0.000
Ir1 0.188 0.812 0.260
S1 0.000 0.500 0.000
```

Main lines, sorted by position (2θ from 5° to 70°):
2theta, I_rel, hkl
17.3, 48, 0 0 2
17.7, 34, 2 0 0
19.8, 46, 2 1 0
33.0, 96, 2 1 3
35.1, 31, 0 0 4
36.9, 63, 4 1 0
38.0, 60, 3 3 0
41.1, 100, 4 1 2